Ta11Co2: computed PXRD pattern (CuKα), based on a PBE-relaxed structure.

The 10 most intense peaks (15° ≤ 2θ ≤ 90°), low angle first:
| d (Å) | two_theta | I_rel |
| --- | --- | --- |
| 4.455 | 19.93 | 27 |
| 2.754 | 32.51 | 32 |
| 2.376 | 37.87 | 75 |
| 2.344 | 38.40 | 100 |
| 2.332 | 38.61 | 27 |
| 2.178 | 41.45 | 52 |
| 2.165 | 41.71 | 48 |
| 2.022 | 44.83 | 53 |
| 1.448 | 64.34 | 28 |
| 1.377 | 68.09 | 38 |

Structural model:
Cell: 9.461 9.461 9.461 Å, 33.85 33.85 33.85°
Sites, in units of the cell vectors:
Ta: 0.000 0.000 0.000
Ta: 0.085 0.085 0.580
Ta: 0.085 0.580 0.085
Ta: 0.350 0.350 0.350
Ta: 0.420 0.915 0.915
Ta: 0.451 0.451 0.451
Ta: 0.549 0.549 0.549
Ta: 0.580 0.085 0.085
Ta: 0.650 0.650 0.650
Ta: 0.915 0.420 0.915
Ta: 0.915 0.915 0.420
Co: 0.171 0.171 0.171
Co: 0.829 0.829 0.829